No. 1
# Y2Au
Simulated powder XRD pattern, a wavelength of 1.5418 Å. Input: a cell relaxed with GGA-PBE.

Top 8 peaks for 2θ = 10–80°, most intense first:
(2 1 1), 2θ = 32.30°, intensity 100
(0 1 3), 2θ = 34.91°, intensity 74
(0 2 0), 2θ = 36.05°, intensity 56
(2 1 3), 2θ = 43.32°, intensity 51
(1 1 1), 2θ = 23.88°, intensity 43
(1 1 2), 2θ = 29.50°, intensity 32
(1 0 2), 2θ = 23.33°, intensity 32
(3 1 1), 2θ = 43.11°, intensity 29

Crystal structure
Lattice parameters (Å, degrees): 7.182 4.983 8.999 90.00 90.00 90.00
Space group Pnma (No. 62)
Symmetry-distinct sites (fractional):
Y1 0.016 0.250 0.176 [4 per cell]
Y2 0.148 0.250 0.581 [4 per cell]
Au1 0.243 0.250 0.900 [4 per cell]



No. 2
# K3Eu
Simulated powder XRD pattern, a wavelength of 1.5418 Å. Input: a cell relaxed with GGA-PBE.

Top 8 peaks for 2θ = 10–80°, most intense first:
(2 0 1), 2θ = 25.42°, intensity 100
(1 0 1), 2θ = 16.32°, intensity 42
(0 0 2), 2θ = 23.90°, intensity 26
(2 2 2), 2θ = 46.52°, intensity 24
(2 0 3), 2θ = 42.97°, intensity 23
(2 0 0), 2θ = 22.39°, intensity 23
(2 2 0), 2θ = 39.30°, intensity 20
(1 1 0), 2θ = 19.36°, intensity 19

Crystal structure
Lattice parameters (Å, degrees): 9.1696 9.1696 7.4465 90.00 90.00 120.00
Space group P6_3/mmc (No. 194)
Symmetry-distinct sites (fractional):
K1 0.1684 0.3368 0.2500 [6 per cell]
Eu1 0.3333 0.6667 0.7500 [2 per cell]



No. 3
# LiNbP4O12
Simulated powder XRD pattern, a wavelength of 1.5418 Å. Input: a cell relaxed with GGA-PBE.

Top 8 peaks for 2θ = 10–80°, most intense first:
(0 2 0), 2θ = 12.61°, intensity 100
(0 0 1), 2θ = 12.23°, intensity 66
(1 2 -1), 2θ = 23.72°, intensity 64
(0 0 2), 2θ = 24.60°, intensity 42
(1 4 0), 2θ = 30.54°, intensity 32
(1 2 0), 2θ = 21.00°, intensity 25
(1 1 1), 2θ = 22.43°, intensity 22
(0 1 1), 2θ = 13.77°, intensity 22

Crystal structure
Lattice parameters (Å, degrees): 5.316 14.044 7.257 90.00 94.30 90.00
Space group P2_1 (No. 4)
Symmetry-distinct sites (fractional):
Li1 0.103 0.000 0.097 [2 per cell]
Nb1 0.010 0.225 0.510 [2 per cell]
P1 0.283 0.808 0.890 [2 per cell]
P2 0.362 0.162 0.909 [2 per cell]
P3 0.462 0.583 0.438 [2 per cell]
P4 0.484 0.368 0.450 [2 per cell]
O1 0.118 0.740 0.773 [2 per cell]
O2 0.140 0.203 0.791 [2 per cell]
O3 0.155 0.887 0.980 [2 per cell]
O4 0.190 0.589 0.488 [2 per cell]
O5 0.212 0.358 0.497 [2 per cell]
O6 0.305 0.105 0.073 [2 per cell]
O7 0.320 0.812 0.437 [2 per cell]
O8 0.351 0.147 0.461 [2 per cell]
O9 0.432 0.977 0.527 [2 per cell]
O10 0.450 0.750 0.044 [2 per cell]
O11 0.464 0.596 0.217 [2 per cell]
O12 0.495 0.350 0.232 [2 per cell]



No. 4
# Dy3Co
Simulated powder XRD pattern, a wavelength of 1.5418 Å. Input: a cell relaxed with GGA-PBE.

Top 8 peaks for 2θ = 10–80°, most intense first:
(0 3 1), 2θ = 32.01°, intensity 100
(1 1 2), 2θ = 32.99°, intensity 66
(2 2 1), 2θ = 35.36°, intensity 59
(1 3 1), 2θ = 34.61°, intensity 54
(2 2 0), 2θ = 32.19°, intensity 53
(1 0 2), 2θ = 31.54°, intensity 46
(3 3 2), 2θ = 57.88°, intensity 45
(2 1 1), 2θ = 31.13°, intensity 45

Crystal structure
Lattice parameters (Å, degrees): 6.903 9.388 6.223 90.00 90.00 90.00
Space group Pnma (No. 62)
Symmetry-distinct sites (fractional):
Dy1 0.044 0.250 0.139 [4 per cell]
Dy2 0.177 0.067 0.676 [8 per cell]
Co1 0.109 0.750 0.453 [4 per cell]



No. 5
# Th10N9F13
Simulated powder XRD pattern, a wavelength of 1.5418 Å. Input: a cell relaxed with GGA-PBE.

Top 8 peaks for 2θ = 10–80°, most intense first:
(1 0 5), 2θ = 26.66°, intensity 100
(2 1 5), 2θ = 52.72°, intensity 32
(1 1 10), 2θ = 44.04°, intensity 30
(1 1 0), 2θ = 31.13°, intensity 28
(2 0 0), 2θ = 44.61°, intensity 19
(1 0 10), 2θ = 37.73°, intensity 13
(0 0 10), 2θ = 30.36°, intensity 10
(2 0 10), 2θ = 54.91°, intensity 9

Crystal structure
Lattice parameters (Å, degrees): 4.063 4.063 29.445 90.00 90.00 90.00
Space group P-4m2 (No. 115)
Symmetry-distinct sites (fractional):
Th1 0.000 0.500 0.044 [2 per cell]
Th2 0.000 0.500 0.241 [2 per cell]
Th3 0.000 0.500 0.441 [2 per cell]
Th4 0.000 0.500 0.640 [2 per cell]
Th5 0.000 0.500 0.840 [2 per cell]
N1 0.000 0.000 0.200 [2 per cell]
N2 0.000 0.000 0.400 [2 per cell]
N3 0.500 0.500 0.000 [1 per cell]
N4 0.500 0.500 0.201 [2 per cell]
N5 0.500 0.500 0.401 [2 per cell]
F1 0.000 0.000 0.000 [1 per cell]
F2 0.000 0.000 0.099 [2 per cell]
F3 0.000 0.000 0.301 [2 per cell]
F4 0.000 0.000 0.500 [1 per cell]
F5 0.000 0.500 0.949 [2 per cell]
F6 0.500 0.500 0.104 [2 per cell]
F7 0.500 0.500 0.301 [2 per cell]
F8 0.500 0.500 0.500 [1 per cell]



No. 6
# BiCNO
Simulated powder XRD pattern, a wavelength of 1.5418 Å. Input: a cell relaxed with GGA-PBE.

Top 8 peaks for 2θ = 10–80°, most intense first:
(1 0 1), 2θ = 25.43°, intensity 100
(1 0 2), 2θ = 32.68°, intensity 81
(0 0 1), 2θ = 11.61°, intensity 66
(1 1 0), 2θ = 32.09°, intensity 51
(1 1 3), 2θ = 48.47°, intensity 34
(2 1 2), 2θ = 57.57°, intensity 32
(2 1 1), 2θ = 53.30°, intensity 30
(2 0 0), 2θ = 46.01°, intensity 25

Crystal structure
Lattice parameters (Å, degrees): 3.945 3.945 7.619 90.00 90.00 90.00
Space group P4/nmm (No. 129, origin choice 2)
Symmetry-distinct sites (fractional):
Bi1 0.250 0.250 0.164 [2 per cell]
C1 0.250 0.250 0.548 [2 per cell]
N1 0.250 0.250 0.704 [2 per cell]
O1 0.250 0.750 0.000 [2 per cell]



What did the fifth record say?
# Th10N9F13
Simulated powder XRD pattern, a wavelength of 1.5418 Å. Input: a cell relaxed with GGA-PBE.

Top 8 peaks for 2θ = 10–80°, most intense first:
(1 0 5), 2θ = 26.66°, intensity 100
(2 1 5), 2θ = 52.72°, intensity 32
(1 1 10), 2θ = 44.04°, intensity 30
(1 1 0), 2θ = 31.13°, intensity 28
(2 0 0), 2θ = 44.61°, intensity 19
(1 0 10), 2θ = 37.73°, intensity 13
(0 0 10), 2θ = 30.36°, intensity 10
(2 0 10), 2θ = 54.91°, intensity 9

Crystal structure
Lattice parameters (Å, degrees): 4.063 4.063 29.445 90.00 90.00 90.00
Space group P-4m2 (No. 115)
Symmetry-distinct sites (fractional):
Th1 0.000 0.500 0.044 [2 per cell]
Th2 0.000 0.500 0.241 [2 per cell]
Th3 0.000 0.500 0.441 [2 per cell]
Th4 0.000 0.500 0.640 [2 per cell]
Th5 0.000 0.500 0.840 [2 per cell]
N1 0.000 0.000 0.200 [2 per cell]
N2 0.000 0.000 0.400 [2 per cell]
N3 0.500 0.500 0.000 [1 per cell]
N4 0.500 0.500 0.201 [2 per cell]
N5 0.500 0.500 0.401 [2 per cell]
F1 0.000 0.000 0.000 [1 per cell]
F2 0.000 0.000 0.099 [2 per cell]
F3 0.000 0.000 0.301 [2 per cell]
F4 0.000 0.000 0.500 [1 per cell]
F5 0.000 0.500 0.949 [2 per cell]
F6 0.500 0.500 0.104 [2 per cell]
F7 0.500 0.500 0.301 [2 per cell]
F8 0.500 0.500 0.500 [1 per cell]